[1]
# Ac3HfSe6
Simulated powder XRD pattern, Cu Ka. Input: DFT lattice parameters and positions (GGA-PBE).
Kinematic intensities with the Lorentz-polarization factor, no thermal factor.

Structure:
Unit cell a=8.6625 b=8.6625 c=8.6625 alpha=97.92 beta=97.92 gamma=97.92
Atoms (fractional coordinates):
Ac 0.1243 0.7932 0.6135
Ac 0.2068 0.3865 0.8757
Ac 0.3865 0.8757 0.2068
Ac 0.6135 0.1243 0.7932
Ac 0.7932 0.6135 0.1243
Ac 0.8757 0.2068 0.3865
Hf 0.0000 0.0000 0.0000
Hf 0.5000 0.5000 0.5000
Se 0.0668 0.6995 0.9323
Se 0.0677 0.9332 0.3005
Se 0.1921 0.4371 0.5259
Se 0.3005 0.0677 0.9332
Se 0.4371 0.5259 0.1921
Se 0.4741 0.8079 0.5629
Se 0.5259 0.1921 0.4371
Se 0.5629 0.4741 0.8079
Se 0.6995 0.9323 0.0668
Se 0.8079 0.5629 0.4741
Se 0.9323 0.0668 0.6995
Se 0.9332 0.3005 0.0677

Principal peaks in the range 10° ≤ 2θ ≤ 90°, low angle first:
Position (°2θ)	I_rel
15.9	26
20.9	37
21.9	100
25.0	49
31.8	68
35.1	97
36.4	58
44.7	27
46.9	28
66.1	27


[2]
# Ac2Hf2Se7
Simulated powder XRD pattern, Cu Ka. Input: DFT lattice parameters and positions (GGA-PBE).
Kinematic intensities with the Lorentz-polarization factor, no thermal factor.

Structure:
Unit cell a=7.9588 b=7.9588 c=7.2198 alpha=94.83 beta=94.83 gamma=114.00
Atoms (fractional coordinates):
Ac 0.1839 0.8161 0.0000
Ac 0.8161 0.1839 0.0000
Hf 0.2368 0.2368 0.6111
Hf 0.7632 0.7632 0.3889
Se 0.0673 0.0673 0.2769
Se 0.1091 0.4447 0.7803
Se 0.4447 0.1091 0.7803
Se 0.5000 0.5000 0.5000
Se 0.5553 0.8909 0.2197
Se 0.8909 0.5553 0.2197
Se 0.9327 0.9327 0.7231

Principal peaks in the range 10° ≤ 2θ ≤ 90°, low angle first:
Position (°2θ)	I_rel
12.3	29
18.2	100
18.6	52
22.5	42
26.6	22
32.6	36
35.1	57
40.6	23
42.6	24
47.0	19